KCoH3C3O6: computed X-ray powder pattern (Cu Kα (weighted mean of Kα1 and Kα2)), based on a cell relaxed with PBE+U.
Lines closer than 0.1° are merged.

```
data_KCoH3C3O6
_chemical_formula_sum 'K4 Co4 H12 C12 O24'
_symmetry_space_group_name_H-M 'C 1 2/c 1'
_symmetry_Int_Tables_number 15
_cell_length_a 10.5580
_cell_length_b 8.9691
_cell_length_c 6.7291
_cell_angle_alpha 90.00
_cell_angle_beta 93.87
_cell_angle_gamma 90.00
loop_
_symmetry_equiv_pos_as_xyz
'x,y,z'
'-x,-y,-z'
'-x,y,-z+1/2'
'x,-y,z+1/2'
'x+1/2,y+1/2,z'
'-x+1/2,-y+1/2,-z'
'-x+1/2,y+1/2,-z+1/2'
'x+1/2,-y+1/2,z+1/2'
loop_
_atom_site_label
_atom_site_type_symbol
_atom_site_fract_x
_atom_site_fract_y
_atom_site_fract_z
_atom_site_occupancy
K1 K 0.0000 0.0989 0.2500 1
Co1 Co 0.2500 0.2500 0.0000 1
H1 H 0.0000 0.3782 0.7500 1
H2 H 0.1213 0.4441 0.4957 1
C1 C 0.0000 0.2546 0.7500 1
C2 C 0.1788 0.4413 0.3639 1
O1 O 0.0710 0.1875 0.8802 1
O2 O 0.1626 0.3289 0.2514 1
O3 O 0.2474 0.0499 0.1617 1
```

The 10 most intense peaks (5° ≤ 2θ ≤ 70°), by angle:
| 2θ (°) | d_spacing | I/Imax | hkl |
| --- | --- | --- | --- |
| 16.83 | 5.267 | 26 | 2 0 0 |
| 18.12 | 4.896 | 65 | 1 1 -1 |
| 18.94 | 4.686 | 100 | 1 1 1 |
| 27.28 | 3.270 | 33 | 3 1 0 |
| 30.60 | 2.922 | 35 | 2 0 -2 |
| 31.16 | 2.870 | 27 | 3 1 1 |
| 33.67 | 2.662 | 55 | 1 3 -1 |
| 37.16 | 2.420 | 22 | 3 1 -2 |
| 42.50 | 2.127 | 23 | 0 4 1 |
| 47.19 | 1.926 | 23 | 5 1 1 |